# 1
Structure and theoretical XRD peak list of NiIr4Ru (the PBE geometry in Alexandria; CuKα).
Kinematic intensities with the Lorentz-polarization factor, no thermal factor.

Principal peaks in the range 2θ from 10° to 90°, by angle:
d [Å]  2theta  intensity  index
3.441  25.89  17  0 1 1
2.214  40.75  100  1 1 0
2.194  41.15  97  0 1 3
1.912  47.57  64  1 0 3
1.903  47.80  32  0 2 0
1.349  69.73  41  1 2 3
1.157  83.59  25  2 1 3
1.150  84.20  13  1 3 0
1.148  84.41  37  0 3 3
1.107  88.26  11  2 2 0

Structural model:
Cell lengths 2.723, 3.806, 8.054 Å; angles 90.00, 90.00, 90.00 degrees
Space group Pmmm (No. 47)
Inequivalent atoms, fractional coordinates:
Ni: 0.000 0.000 0.000 (multiplicity 1)
Ir: 0.000 0.000 0.330 (multiplicity 2)
Ir: 0.500 0.500 0.162 (multiplicity 2)
Ru: 0.500 0.500 0.500 (multiplicity 1)


# 2
Structure and theoretical XRD peak list of NiTeIrRu (the PBE geometry in Alexandria; CuKα).
Kinematic intensities with the Lorentz-polarization factor, no thermal factor.

Principal peaks in the range 2θ from 10° to 90°, by angle:
d [Å]  2theta  intensity  index
3.351  26.60  32  0 1 -1
2.624  34.18  51  1 1 -1
2.547  35.24  76  1 1 0
2.355  38.22  100  -1 1 1
2.326  38.72  82  1 -1 1
2.050  44.18  62  0 0 2
2.025  44.75  42  0 2 -1
1.998  45.40  33  0 2 0
1.979  45.85  46  1 1 -2
1.848  49.32  34  2 0 -1

Structural model:
Cell lengths 3.762, 4.155, 4.391 Å; angles 104.58, 104.05, 92.55 degrees
Space group P1 (No. 1)
Inequivalent atoms, fractional coordinates:
Ni: 0.000 0.000 0.000 (multiplicity 1)
Te: 0.406 0.474 0.951 (multiplicity 1)
Ir: 0.630 0.101 0.466 (multiplicity 1)
Ru: 0.039 0.620 0.412 (multiplicity 1)